Diffraction record for UH2O4. The powder X-ray diffraction pattern is theoretical, not measured: it uses a structure optimized by DFT (GGA-PBE) and Cu Ka.

Atomic structure:
abc: 6.0859 4.1624 6.1620
angles: 69.15 39.73 71.12
Atoms (fractional coordinates):
U (0.0000, 0.0000, 0.0000)
H (0.0895, 0.6094, 0.3906)
H (0.6094, 0.0895, 0.9105)
O (0.0039, 0.5058, 0.9961)
O (0.1956, 0.8036, 0.1964)
O (0.5058, 0.0039, 0.4942)
O (0.8036, 0.1956, 0.8044)

Most intense lines, 5° ≤ 2θ ≤ 70°, by angle:
2θ 16.51, 5.370 Å, I 49.6; 2θ 22.94, 3.876 Å, I 100.0; 2θ 33.02, 2.713 Å, I 27.8; 2θ 43.55, 2.078 Å, I 13.9; 2θ 46.88, 1.938 Å, I 15.0; 2θ 47.65, 1.908 Å, I 17.2